1.
The following is a simulated powder XRD pattern of Ti3ZnHg4. It was derived from a DFT-relaxed cell (GGA-PBE, the Materials Project), using Cu Kα X-rays.
Peak positions follow from Bragg's law for the DFT cell and can differ from measured ones.

Largest 12 diffraction maxima, by angle, 2θ from 10° to 90°:
| Position (°2θ) | d/Å | Rel. int. | h k l |
| --- | --- | --- | --- |
| 22.60 | 3.935 | 28 | 0 0 4 |
| 28.71 | 3.110 | 32 | 1 0 0 |
| 36.84 | 2.440 | 100 | 1 0 4 |
| 41.05 | 2.199 | 37 | 1 1 0 |
| 46.14 | 1.967 | 13 | 0 0 8 |
| 47.36 | 1.920 | 17 | 1 1 4 |
| 55.25 | 1.663 | 11 | 1 0 8 |
| 59.44 | 1.555 | 12 | 2 0 0 |
| 63.44 | 1.466 | 20 | 1 1 8 |
| 72.02 | 1.311 | 29 | 2 1 4 |
| 78.39 | 1.220 | 11 | 2 0 8 |
| 79.27 | 1.208 | 11 | 1 0 12 |

Atomic structure:
a = 3.1098 Å, b = 3.1098 Å, c = 15.7389 Å
α = 90.00°, β = 90.00°, γ = 90.00°
Atoms (fractional coordinates):
Ti (0.0000, 0.0000, 0.0000)
Ti (0.0000, 0.0000, 0.2512)
Ti (0.0000, 0.0000, 0.7488)
Zn (0.0000, 0.0000, 0.5000)
Hg (0.5000, 0.5000, 0.1258)
Hg (0.5000, 0.5000, 0.3764)
Hg (0.5000, 0.5000, 0.6236)
Hg (0.5000, 0.5000, 0.8742)

=====

2.
The following is a simulated powder XRD pattern of Tm5Pb3. It was derived from a DFT-relaxed cell (GGA-PBE, the Materials Project), using Cu Kα X-rays.
Peak positions follow from Bragg's law for the DFT cell and can differ from measured ones.

Largest 12 diffraction maxima, by angle, 2θ from 10° to 90°:
| Position (°2θ) | d/Å | Rel. int. | h k l |
| --- | --- | --- | --- |
| 27.28 | 3.269 | 23 | 0 0 2 |
| 30.56 | 2.926 | 25 | 2 1 0 |
| 33.56 | 2.671 | 100 | 2 1 1 |
| 33.98 | 2.639 | 72 | 1 1 2 |
| 34.77 | 2.580 | 39 | 3 0 0 |
| 44.41 | 2.040 | 16 | 3 1 1 |
| 49.40 | 1.845 | 16 | 2 2 2 |
| 52.34 | 1.748 | 29 | 2 1 3 |
| 56.28 | 1.635 | 12 | 0 0 4 |
| 59.22 | 1.560 | 11 | 2 2 3 |
| 66.87 | 1.399 | 21 | 5 0 2 |
| 67.87 | 1.381 | 12 | 3 0 4 |

Atomic structure:
a = 8.9380 Å, b = 8.9380 Å, c = 6.5387 Å
α = 90.00°, β = 90.00°, γ = 120.00°
Atoms (fractional coordinates):
Tm (0.0000, 0.2389, 0.2500)
Tm (0.0000, 0.7611, 0.7500)
Tm (0.2389, 0.0000, 0.2500)
Tm (0.2389, 0.2389, 0.7500)
Tm (0.3333, 0.6667, 0.0000)
Tm (0.3333, 0.6667, 0.5000)
Tm (0.6667, 0.3333, 0.0000)
Tm (0.6667, 0.3333, 0.5000)
Tm (0.7611, 0.0000, 0.7500)
Tm (0.7611, 0.7611, 0.2500)
Pb (0.0000, 0.3943, 0.7500)
Pb (0.0000, 0.6057, 0.2500)
Pb (0.3943, 0.0000, 0.7500)
Pb (0.3943, 0.3943, 0.2500)
Pb (0.6057, 0.0000, 0.2500)
Pb (0.6057, 0.6057, 0.7500)